Simulated powder XRD pattern of Ac8H for a wavelength of 1.5418 Å, from a DFT-relaxed cell (PBE, Alexandria).
Kinematic intensities with the Lorentz-polarization factor, no thermal factor.

Top 10 peaks for 10° ≤ 2θ ≤ 80°, by angle:
2theta  I/Imax  index
25.44  23  2 0 0
27.65  25  0 0 2
29.01  100  0 2 1
37.92  17  2 0 2
44.83  21  2 2 0
49.75  23  0 2 3
53.49  25  2 2 2
54.29  18  4 0 1
72.97  15  2 4 1
75.38  9  2 2 4

Cell and atoms:
```
9
Lattice="8.087 0.000 0.000 -4.043 7.003 0.000 0.000 0.000 6.452" Properties=species:S:1:pos:R:3 pbc="T T T"
Ac 0.000 2.309 1.620
Ac -2.044 5.849 1.620
Ac 1.999 1.154 4.832
Ac 0.000 4.669 4.794
Ac 4.043 2.334 1.658
Ac 2.044 5.849 1.620
Ac 6.087 1.154 4.832
Ac 4.043 4.695 4.832
H 0.000 0.000 3.226
```